(1)
Simulated PXRD pattern
Compound: Nb8P5
Radiation: λ = 1.5418 Å (Cu Kα)
Structure: the GGA-PBE geometry in Alexandria

Cell and atoms:
Unit cell a=3.4423 b=9.4169 c=26.6564 alpha=90.00 beta=90.00 gamma=90.00
Atoms (fractional coordinates):
Nb 0.0000 0.0007 0.0413
Nb 0.0000 0.1628 0.1518
Nb 0.0000 0.2450 0.7723
Nb 0.0000 0.2518 0.3265
Nb 0.0000 0.3368 0.5000
Nb 0.0000 0.4990 0.6089
Nb 0.0000 0.5010 0.1089
Nb 0.0000 0.6632 0.0000
Nb 0.0000 0.7482 0.8265
Nb 0.0000 0.7550 0.2723
Nb 0.0000 0.8372 0.6518
Nb 0.0000 0.9993 0.5413
Nb 0.5000 0.0189 0.8203
Nb 0.5000 0.0786 0.7002
Nb 0.5000 0.0820 0.9478
Nb 0.5000 0.2467 0.5902
Nb 0.5000 0.2491 0.4090
Nb 0.5000 0.2540 0.0618
Nb 0.5000 0.2567 0.2424
Nb 0.5000 0.4148 0.7041
Nb 0.5000 0.4252 0.9524
Nb 0.5000 0.4731 0.8269
Nb 0.5000 0.5269 0.3269
Nb 0.5000 0.5748 0.4524
Nb 0.5000 0.5852 0.2041
Nb 0.5000 0.7433 0.7424
Nb 0.5000 0.7460 0.5618
Nb 0.5000 0.7509 0.9090
Nb 0.5000 0.7533 0.0902
Nb 0.5000 0.9180 0.4478
Nb 0.5000 0.9214 0.2002
Nb 0.5000 0.9811 0.3203
P 0.0000 0.0355 0.3898
P 0.0000 0.0530 0.2527
P 0.0000 0.2449 0.9873
P 0.0000 0.2537 0.6626
P 0.0000 0.4563 0.3975
P 0.0000 0.4624 0.2607
P 0.0000 0.5376 0.7607
P 0.0000 0.5437 0.8975
P 0.0000 0.7463 0.1626
P 0.0000 0.7551 0.4873
P 0.0000 0.9470 0.7527
P 0.0000 0.9645 0.8898
P 0.5000 0.0084 0.1108
P 0.5000 0.1408 0.4945
P 0.5000 0.3574 0.1558
P 0.5000 0.4920 0.5396
P 0.5000 0.5080 0.0396
P 0.5000 0.6426 0.6558
P 0.5000 0.8592 0.9945
P 0.5000 0.9916 0.6108

Peak list (12 most intense, 10 to 80 degrees two-theta, most intense first)
2theta, Rel. int.
38.21, 100
32.92, 46
37.57, 45
38.98, 38
53.22, 36
38.35, 33
42.50, 31
40.64, 26
32.39, 25
44.03, 20
67.46, 18
69.06, 18

---

(2)
Simulated PXRD pattern
Compound: Pu2NbP3
Radiation: λ = 1.5418 Å (Cu Kα)
Structure: the GGA-PBE geometry in Alexandria

Cell and atoms:
Unit cell a=6.6513 b=6.6513 c=6.6513 alpha=146.67 beta=131.87 gamma=59.81
Atoms (fractional coordinates):
Pu 0.1695 0.1695 0.0000
Pu 0.8305 0.8305 0.0000
Nb 0.5000 0.5000 0.0000
P 0.0000 0.5000 0.5000
P 0.3462 0.8462 0.5000
P 0.6538 0.1538 0.5000

Peak list (12 most intense, 10 to 80 degrees two-theta, most intense first)
2theta, Rel. int.
33.06, 100
28.46, 50
28.60, 49
47.44, 49
56.23, 32
79.00, 22
56.46, 16
59.21, 13
58.89, 13
47.67, 12
47.30, 12
18.07, 10

---

(3)
Simulated PXRD pattern
Compound: RbNb2PSe10
Radiation: λ = 1.5418 Å (Cu Kα)
Structure: the GGA-PBE geometry in Alexandria

Cell and atoms:
Unit cell a=7.8317 b=8.2667 c=13.7245 alpha=90.00 beta=108.42 gamma=90.00
Atoms (fractional coordinates):
Rb 0.0000 0.0125 0.0000
Rb 0.0000 0.9875 0.5000
Nb 0.4492 0.4427 0.2585
Nb 0.4492 0.5573 0.7585
Nb 0.4544 0.4417 0.9663
Nb 0.4544 0.5583 0.4663
P 0.5843 0.1023 0.1392
P 0.5843 0.8977 0.6392
Se 0.2003 0.3631 0.7938
Se 0.2003 0.3682 0.3430
Se 0.2003 0.6318 0.8430
Se 0.2003 0.6369 0.2938
Se 0.2045 0.4457 0.0681
Se 0.2045 0.5543 0.5681
Se 0.3987 0.1164 0.2334
Se 0.3987 0.8836 0.7334
Se 0.4108 0.3355 0.6049
Se 0.4108 0.6645 0.1049
Se 0.4388 0.1079 0.9703
Se 0.4388 0.8921 0.4703
Se 0.6987 0.3566 0.1587
Se 0.6987 0.6434 0.6587
Se 0.6999 0.3612 0.4387
Se 0.6999 0.6388 0.9387
Se 0.7101 0.3761 0.8767
Se 0.7101 0.6239 0.3767
Se 0.7726 0.0979 0.6846
Se 0.7726 0.9021 0.1846

Peak list (12 most intense, 10 to 80 degrees two-theta, most intense first)
2theta, Rel. int.
11.91, 100
10.70, 78
16.04, 39
34.68, 37
38.09, 29
49.01, 28
42.20, 28
28.36, 28
33.36, 27
30.25, 27
26.30, 23
28.99, 23

---

(4)
Simulated PXRD pattern
Compound: Sm2NbP3Rh12
Radiation: λ = 1.5418 Å (Cu Kα)
Structure: the GGA-PBE geometry in Alexandria

Cell and atoms:
Unit cell a=7.0586 b=7.0586 c=7.0586 alpha=73.68 beta=73.68 gamma=73.68
Atoms (fractional coordinates):
Sm 0.1039 0.1039 0.1039
Sm 0.8961 0.8961 0.8961
Nb 0.5000 0.5000 0.5000
P 0.0000 0.5000 0.5000
P 0.5000 0.0000 0.5000
P 0.5000 0.5000 0.0000
Rh 0.1316 0.6499 0.6499
Rh 0.1732 0.1732 0.5895
Rh 0.1732 0.5895 0.1732
Rh 0.3501 0.3501 0.8684
Rh 0.3501 0.8684 0.3501
Rh 0.4105 0.8268 0.8268
Rh 0.5895 0.1732 0.1732
Rh 0.6499 0.1316 0.6499
Rh 0.6499 0.6499 0.1316
Rh 0.8268 0.4105 0.8268
Rh 0.8268 0.8268 0.4105
Rh 0.8684 0.3501 0.3501

Peak list (12 most intense, 10 to 80 degrees two-theta, most intense first)
2theta, Rel. int.
33.89, 100
42.73, 97
34.43, 47
54.16, 28
31.72, 26
51.86, 16
35.24, 16
56.55, 16
55.62, 16
78.25, 14
41.38, 14
63.10, 14

---

(5)
Simulated PXRD pattern
Compound: NbSbP
Radiation: λ = 1.5418 Å (Cu Kα)
Structure: the GGA-PBE geometry in Alexandria

Cell and atoms:
Unit cell a=3.3559 b=3.3559 c=11.4555 alpha=97.78 beta=97.78 gamma=89.94
Atoms (fractional coordinates):
Nb 0.2098 0.2098 0.4136
Nb 0.7902 0.7902 0.5864
Sb 0.0872 0.0872 0.1323
Sb 0.9128 0.9128 0.8677
P 0.3221 0.3221 0.6566
P 0.6779 0.6779 0.3434

Peak list (12 most intense, 10 to 80 degrees two-theta, most intense first)
2theta, Rel. int.
26.87, 100
37.92, 82
38.58, 64
39.04, 57
31.84, 42
54.71, 27
50.34, 22
68.92, 22
68.22, 12
50.74, 11
62.02, 11
68.59, 11

---

(6)
Simulated PXRD pattern
Compound: NbSbP
Radiation: λ = 1.5418 Å (Cu Kα)
Structure: the GGA-PBE geometry in Alexandria

Cell and atoms:
Unit cell a=9.8617 b=9.8617 c=9.8617 alpha=159.04 beta=159.04 gamma=29.82
Atoms (fractional coordinates):
Nb 0.1536 0.1536 0.0000
Nb 0.8464 0.8464 0.0000
Sb 0.4217 0.4217 0.0000
Sb 0.5783 0.5783 0.0000
P 0.2500 0.7500 0.5000
P 0.7500 0.2500 0.5000

Peak list (12 most intense, 10 to 80 degrees two-theta, most intense first)
2theta, Rel. int.
41.64, 100
28.57, 76
35.38, 68
40.27, 60
34.32, 47
67.79, 46
50.90, 41
18.62, 37
25.26, 25
59.41, 18
62.83, 16
59.20, 15

---

(7)
Simulated PXRD pattern
Compound: NbPSe4
Radiation: λ = 1.5418 Å (Cu Kα)
Structure: the GGA-PBE geometry in Alexandria

Cell and atoms:
Unit cell a=6.5777 b=6.5925 c=11.4867 alpha=90.00 beta=90.00 gamma=90.00
Atoms (fractional coordinates):
Nb 0.0000 0.0000 0.0000
Nb 0.0000 0.5000 0.5000
P 0.0000 0.0000 0.5000
P 0.5000 0.0000 0.0000
Se 0.1916 0.2480 0.3910
Se 0.1916 0.7520 0.6090
Se 0.2528 0.1907 0.8906
Se 0.2528 0.8093 0.1094
Se 0.7472 0.1907 0.1094
Se 0.7472 0.8093 0.8906
Se 0.8084 0.2480 0.6090
Se 0.8084 0.7520 0.3910

Peak list (12 most intense, 10 to 80 degrees two-theta, most intense first)
2theta, Rel. int.
24.61, 100
15.47, 79
13.45, 38
38.67, 23
41.71, 21
41.76, 21
20.55, 19
46.38, 19
34.21, 15
38.57, 13
50.60, 11
31.35, 11